VH12C2S2O12F6: computed powder X-ray diffraction pattern (Cu Kα (λ = 1.5418 Å)), based on a crystal structure in the Materials Project, relaxed with GGA+U.
Peak positions follow from Bragg's law for the DFT cell and can differ from measured ones.

Main lines, sorted by position (2θ from 10° to 90°):
Position (°2θ), intensity
18.36, 100
18.58, 29
19.17, 60
27.01, 15
27.37, 14
29.22, 30
31.42, 34
49.70, 11

Atomic structure:
```
data_VH12C2S2O12F6
_chemical_formula_sum 'V2 H24 C4 S4 O24 F12'
_cell_length_a 18.876
_cell_length_b 7.094
_cell_length_c 6.648
_cell_angle_alpha 90.00
_cell_angle_beta 103.69
_cell_angle_gamma 90.00
_symmetry_space_group_name_H-M 'C 1 2/m 1'
_symmetry_Int_Tables_number 12
loop_
_symmetry_equiv_pos_as_xyz
'x,y,z'
'-x,-y,-z'
'-x,y,-z'
'x,-y,z'
'x+1/2,y+1/2,z'
'-x+1/2,-y+1/2,-z'
'-x+1/2,y+1/2,-z'
'x+1/2,-y+1/2,z'
loop_
_atom_site_label
_atom_site_type_symbol
_atom_site_fract_x
_atom_site_fract_y
_atom_site_fract_z
V1 V 0.000 0.000 0.000
H1 H 0.070 0.113 0.690
H2 H 0.081 0.254 0.299
H3 H 0.089 0.312 0.073
C1 C 0.226 0.500 0.712
S1 S 0.125 0.500 0.690
O1 O 0.051 0.000 0.746
O2 O 0.072 0.215 0.154
O3 O 0.099 0.326 0.576
O4 O 0.117 0.500 0.904
F1 F 0.239 0.500 0.520
F2 F 0.244 0.155 0.185
```

Na2V2O5: computed powder X-ray diffraction pattern (Cu Kα (λ = 1.5418 Å)), based on a crystal structure in the Materials Project, relaxed with GGA+U.
Peak positions follow from Bragg's law for the DFT cell and can differ from measured ones.

Main lines, sorted by position (2θ from 10° to 90°):
Position (°2θ), intensity
22.90, 67
24.47, 32
32.11, 38
33.11, 51
33.76, 100
46.79, 53
50.16, 26
59.56, 22

Atomic structure:
```
data_Na2V2O5
_chemical_formula_sum 'Na4 V4 O10'
_cell_length_a 5.411
_cell_length_b 5.575
_cell_length_c 8.244
_cell_angle_alpha 70.24
_cell_angle_beta 70.91
_cell_angle_gamma 89.98
_symmetry_space_group_name_H-M 'P 1'
_symmetry_Int_Tables_number 1
loop_
_symmetry_equiv_pos_as_xyz
'x,y,z'
loop_
_atom_site_label
_atom_site_type_symbol
_atom_site_fract_x
_atom_site_fract_y
_atom_site_fract_z
Na1 Na 0.000 0.000 0.000
Na2 Na 0.214 0.158 0.569
Na3 Na 0.500 0.442 0.000
Na4 Na 0.714 0.714 0.570
V1 V 0.119 0.580 0.784
V2 V 0.316 0.759 0.284
V3 V 0.619 0.077 0.784
V4 V 0.816 0.398 0.285
O1 O 0.276 0.779 0.502
O2 O 0.347 0.802 0.808
O3 O 0.395 0.322 0.762
O4 O 0.471 0.458 0.285
O5 O 0.492 0.997 0.068
O6 O 0.775 0.159 0.501
O7 O 0.848 0.832 0.808
O8 O 0.895 0.357 0.762
O9 O 0.972 0.699 0.284
O10 O 0.992 0.379 0.067
```